Structure and calculated X-ray diffraction stick pattern of Zn3Bi3N5 (a cell relaxed with PBE; Cu Kα).
Intensities are scaled so that the largest is 1000.

Cell and atoms:
```
data_Zn3Bi3N5
_cell_length_a 6.3208
_cell_length_b 6.4032
_cell_length_c 9.4971
_cell_angle_alpha 80.22
_cell_angle_beta 87.04
_cell_angle_gamma 86.87
_space_group_name_H-M_alt 'P -1'
_space_group_IT_number 2
_space_group_name_Hall '-P 1'
loop_
_atom_site_label
_atom_site_type_symbol
_atom_site_fract_x
_atom_site_fract_y
_atom_site_fract_z
Zn1 Zn 0.0956 0.4476 0.2186
Zn2 Zn 0.1152 0.8173 0.9853
Zn3 Zn 0.2976 0.3986 0.5443
Bi1 Bi 0.1236 0.9560 0.3400
Bi2 Bi 0.3841 0.3032 0.9221
Bi3 Bi 0.3867 0.8080 0.6654
N1 N 0.1516 0.0513 0.1039
N2 N 0.2135 0.4956 0.7299
N3 N 0.2628 0.2653 0.3701
N4 N 0.2831 0.5591 0.0495
N5 N 0.3824 0.7389 0.4446
```

Largest 6 diffraction maxima, in order of rising 2θ, 10° ≤ 2θ ≤ 90°:
| hkl | 2theta | d [Å] | I_rel |
| --- | --- | --- | --- |
| 1 -1 2 | 29.19 | 3.059 | 706 |
| 0 1 3 | 29.77 | 3.001 | 644 |
| 2 0 -1 | 30.30 | 2.949 | 610 |
| 1 2 0 | 31.13 | 2.873 | 1000 |
| -1 2 1 | 32.54 | 2.751 | 401 |
| 2 1 2 | 34.70 | 2.585 | 558 |



Structure and calculated X-ray diffraction stick pattern of CsNaMg6O7 (a cell relaxed with PBE; Cu Kα).
Intensities are scaled so that the largest is 1000.

Cell and atoms:
```
data_CsNaMg6O7
_cell_length_a 4.7403
_cell_length_b 4.7403
_cell_length_c 8.1702
_cell_angle_alpha 90.00
_cell_angle_beta 90.00
_cell_angle_gamma 90.00
_space_group_name_H-M_alt 'P 4 m m'
_space_group_IT_number 99
_space_group_name_Hall 'P 4 -2'
loop_
_atom_site_label
_atom_site_type_symbol
_atom_site_fract_x
_atom_site_fract_y
_atom_site_fract_z
Cs1 Cs 0.0000 0.0000 0.0000
Na1 Na 0.0000 0.0000 0.5789
Mg1 Mg 0.0000 0.5000 0.3379
Mg2 Mg 0.0000 0.5000 0.8330
Mg3 Mg 0.5000 0.5000 0.0984
Mg4 Mg 0.5000 0.5000 0.5871
O1 O 0.0000 0.0000 0.3209
O2 O 0.0000 0.5000 0.0870
O3 O 0.0000 0.5000 0.5992
O4 O 0.5000 0.5000 0.3424
O5 O 0.5000 0.5000 0.8432
```

Largest 6 diffraction maxima, in order of rising 2θ, 10° ≤ 2θ ≤ 90°:
| hkl | 2theta | d [Å] | I_rel |
| --- | --- | --- | --- |
| 0 0 1 | 10.83 | 8.170 | 555 |
| 0 0 2 | 21.69 | 4.096 | 652 |
| 1 0 2 | 28.83 | 3.097 | 608 |
| 1 1 2 | 34.62 | 2.591 | 423 |
| 2 0 0 | 37.96 | 2.370 | 1000 |
| 2 2 0 | 54.77 | 1.676 | 310 |



Structure and calculated X-ray diffraction stick pattern of AgSbPbS3 (a cell relaxed with PBE; Cu Kα).
Intensities are scaled so that the largest is 1000.

Cell and atoms:
```
data_AgSbPbS3
_cell_length_a 4.0371
_cell_length_b 5.7386
_cell_length_c 12.1613
_cell_angle_alpha 90.00
_cell_angle_beta 90.00
_cell_angle_gamma 90.00
_space_group_name_H-M_alt 'I m m 2'
_space_group_IT_number 44
_space_group_name_Hall 'I 2 -2'
loop_
_atom_site_label
_atom_site_type_symbol
_atom_site_fract_x
_atom_site_fract_y
_atom_site_fract_z
Ag1 Ag 0.0000 0.0000 0.0000
Sb1 Sb 0.0000 0.0000 0.6679
Pb1 Pb 0.0000 0.0000 0.3321
S1 S 0.0000 0.5000 0.0162
S2 S 0.0000 0.5000 0.3291
S3 S 0.0000 0.5000 0.6599
```

Largest 6 diffraction maxima, in order of rising 2θ, 10° ≤ 2θ ≤ 90°:
| hkl | 2theta | d [Å] | I_rel |
| --- | --- | --- | --- |
| 0 1 3 | 26.97 | 3.306 | 753 |
| 0 2 0 | 31.24 | 2.863 | 1000 |
| 1 2 3 | 44.73 | 2.026 | 601 |
| 1 1 6 | 52.98 | 1.728 | 254 |
| 2 2 0 | 55.67 | 1.651 | 125 |
| 2 2 6 | 74.03 | 1.280 | 160 |